The following is a simulated powder diffraction line list of TmMnNb. It was derived from a structure optimized by DFT (PBE), using Cu Ka.

Structure:
```
6
Lattice="0.0000 4.1608 4.8755 2.8295 0.0000 4.8755 2.8295 4.1608 0.0000" Properties=species:S:1:pos:R:3 pbc="T T T"
Tm 2.8295 1.4888 4.8755
Tm 2.8295 6.8328 4.8755
Mn 1.4147 2.0804 2.4378
Mn 4.2442 6.2412 7.3133
Nb 2.8295 4.1608 3.1582
Nb 2.8295 4.1608 6.5929
```

Most intense lines, 5 to 70 degrees two-theta, sorted by position:
d [Å]  2theta  I (rel.)
2.829  31.6  39
2.670  33.6  87
2.447  36.7  34
2.413  37.3  100
2.109  42.9  75
1.536  60.3  31

The following is a simulated powder diffraction line list of Ta6CoC3S6. It was derived from a structure optimized by DFT (PBE), using Cu Ka.

Structure:
```
16
Lattice="2.8603 -4.9537 0.0000 2.8603 4.9537 0.0000 -1.9124 0.0000 8.4441" Properties=species:S:1:pos:R:3 pbc="T T T"
Ta -0.0086 0.0000 3.0719
Ta 0.9476 1.6474 5.3908
Ta 2.8606 1.6474 3.0533
Ta 0.9476 -1.6474 5.3908
Ta 2.8606 -1.6474 3.0533
Ta 3.8169 0.0000 5.3722
Co 0.0000 0.0000 0.0000
C 1.9041 3.2821 4.2220
C 1.9041 0.0000 4.2220
C 1.9041 -3.2821 4.2220
S 0.9522 1.6514 1.4135
S -0.0034 0.0000 7.0434
S 0.9522 -1.6514 1.4135
S 2.8561 1.6514 7.0305
S 3.8116 0.0000 1.4007
S 2.8561 -1.6514 7.0305
```

Most intense lines, 5 to 70 degrees two-theta, sorted by position:
d [Å]  2theta  I (rel.)
8.444  10.5  100
2.842  31.5  45
2.607  34.4  40
2.491  36.1  50
2.123  42.6  46
1.651  55.7  28

The following is a simulated powder diffraction line list of ZnCu4Ni6. It was derived from a structure optimized by DFT (PBE), using Cu Ka.

Structure:
```
11
Lattice="-2.3643 2.3643 6.1238 2.3643 -2.3643 6.1238 2.3643 2.3643 -6.1238" Properties=species:S:1:pos:R:3 pbc="T T T"
Zn 0.0000 0.0000 0.0000
Cu 0.9200 0.9200 -2.1911
Cu 1.4443 -1.4443 8.3150
Cu 1.4443 1.4443 3.9327
Cu -1.4443 1.4443 8.3150
Ni 2.3643 0.0000 0.0000
Ni 0.8655 -0.8655 4.5665
Ni 1.4988 1.4988 1.5574
Ni 0.0000 2.3643 0.0000
Ni -0.8655 0.8655 4.5665
Ni 0.8655 0.8655 7.6812
```

Most intense lines, 5 to 70 degrees two-theta, sorted by position:
d [Å]  2theta  I (rel.)
2.258  39.9  48
2.206  40.9  81
2.084  43.4  100
1.871  48.7  73
1.742  52.5  34
1.672  54.9  32

The following is a simulated powder diffraction line list of TaCr3S8. It was derived from a structure optimized by DFT (PBE), using Cu Ka.

Structure:
```
12
Lattice="3.4552 1.9948 5.4562 -3.4552 1.9948 5.4562 0.0000 -3.9897 5.4562" Properties=species:S:1:pos:R:3 pbc="T T T"
Ta 0.0000 0.0000 0.0000
Cr -3.4552 0.0000 8.1842
Cr -1.7276 0.9974 2.7281
Cr 1.7276 0.9974 2.7281
S 0.0000 0.0000 4.0039
S -1.7289 -0.9982 9.4948
S 0.0000 -1.9964 6.8737
S -1.7290 0.9982 6.8737
S 1.7289 -0.9982 9.4948
S 0.0000 1.9964 9.4948
S 1.7289 0.9982 6.8737
S 0.0000 0.0000 12.3646
```

Most intense lines, 5 to 70 degrees two-theta, sorted by position:
d [Å]  2theta  I (rel.)
5.621  15.8  100
2.919  30.6  39
2.872  31.1  20
2.415  37.2  78
1.728  53.0  26
1.689  54.3  24

The following is a simulated powder diffraction line list of AuBrF3. It was derived from a structure optimized by DFT (PBE), using Cu Ka.

Structure:
```
10
Lattice="5.5692 0.0000 0.0000 0.0000 4.7695 0.0000 -0.5685 0.0000 7.3458" Properties=species:S:1:pos:R:3 pbc="T T T"
Au -0.0749 0.0000 1.8298
Au 5.0757 2.3847 5.5160
Br 2.0150 1.1633 1.8915
Br 2.9858 3.5480 5.4543
F 0.2700 3.8542 6.5604
F 0.6361 3.2600 2.8831
F 1.3452 1.5718 5.5114
F 3.6556 3.9566 1.8344
F 4.3647 0.8753 4.4627
F 4.7308 1.4695 0.7853
```

Most intense lines, 5 to 70 degrees two-theta, sorted by position:
d [Å]  2theta  I (rel.)
5.553  16.0  53
4.000  22.2  100
3.673  24.2  78
3.312  26.9  47
3.182  28.0  68
2.191  41.2  28

The following is a simulated powder diffraction line list of CrCoB. It was derived from a structure optimized by DFT (PBE), using Cu Ka.

Structure:
```
9
Lattice="5.5432 0.0000 0.0000 -2.7716 4.8005 0.0000 0.0000 0.0000 3.0555" Properties=species:S:1:pos:R:3 pbc="T T T"
Cr -1.1409 1.9761 0.0000
Cr 2.2818 0.0000 0.0000
Cr 1.6307 2.8244 0.0000
Co -2.0706 3.5863 1.5278
Co 0.7010 1.2142 1.5278
Co 4.1411 0.0000 1.5278
B 0.0000 0.0000 0.0000
B 0.0000 3.2004 1.5278
B 2.7716 1.6002 1.5278
```

Most intense lines, 5 to 70 degrees two-theta, sorted by position:
d [Å]  2theta  I (rel.)
2.772  32.3  28
2.578  34.8  25
2.053  44.1  100
1.888  48.2  44
1.814  50.3  54
1.528  60.6  15